# 1
The following is a simulated powder diffraction line list of Ba2SnTe5. It was derived from a PBE-relaxed structure, using Cu Kα (weighted mean of Kα1 and Kα2).
Lines closer than 0.1° are merged.

Main lines, by angle (2θ from 10° to 90°):
2θ/deg, d [Å], I_rel, (hkl)
25.15, 3.541, 44, 0 0 2
25.49, 3.495, 42, 2 0 0
28.23, 3.161, 100, 1 6 1
29.08, 3.070, 53, 0 8 0
29.41, 3.037, 21, 2 4 0
36.11, 2.487, 40, 2 0 2
39.06, 2.306, 17, 2 8 0
40.98, 2.202, 27, 1 10 1
55.54, 1.655, 29, 1 14 1
60.21, 1.537, 18, 3 6 3

Atomic structure:
```
Ba2SnTe5
1.0
6.989 0.000 0.000
0.000 24.569 0.000
0.000 0.000 7.082
Ba Sn Te
8 4 20
Cartesian
0.042 2.451 0.074 Ba
0.042 9.833 0.074 Ba
3.453 14.735 3.615 Ba
3.453 22.118 3.615 Ba
3.536 2.451 3.467 Ba
3.536 9.833 3.467 Ba
6.947 14.735 7.008 Ba
6.947 22.118 7.008 Ba
0.708 18.426 4.147 Sn
2.786 6.142 0.606 Sn
4.203 18.426 6.476 Sn
6.281 6.142 2.935 Sn
0.057 3.554 3.658 Te
0.057 8.730 3.658 Te
0.057 18.426 6.927 Te
1.006 0.088 4.549 Te
1.006 12.196 4.549 Te
2.488 12.373 1.008 Te
2.488 24.480 1.008 Te
3.438 6.142 3.386 Te
3.438 15.838 0.117 Te
3.438 21.015 0.117 Te
3.551 3.554 6.965 Te
3.551 8.730 6.965 Te
3.551 18.426 3.697 Te
4.501 0.088 6.075 Te
4.501 12.196 6.075 Te
5.983 12.373 2.533 Te
5.983 24.480 2.533 Te
6.932 6.142 0.156 Te
6.932 15.838 3.424 Te
6.932 21.015 3.424 Te
```

---

# 2
The following is a simulated powder diffraction line list of Y13Tm3O24. It was derived from a PBE-relaxed structure, using Cu Kα (weighted mean of Kα1 and Kα2).
Lines closer than 0.1° are merged.

Main lines, by angle (2θ from 10° to 90°):
2θ/deg, d [Å], I_rel, (hkl)
11.73, 7.547, 7, 1 0 -1
20.38, 4.358, 14, 1 0 1
28.98, 3.081, 100, 1 1 1
33.59, 2.668, 29, 2 2 -2
35.70, 2.515, 6, 2 -3 2
43.22, 2.093, 9, 4 -1 0
48.24, 1.887, 42, 0 4 0
57.26, 1.609, 31, -1 3 3
58.67, 1.573, 6, 1 -4 5
78.04, 1.224, 6, 1 5 1

Atomic structure:
```
Y13Tm3O24
1.0
9.236 0.000 0.000
-3.073 8.715 0.000
-3.078 -4.355 7.551
Y Tm O
13 3 24
Cartesian
0.000 0.000 0.000 Y
6.159 2.164 3.782 Y
-2.655 5.144 1.886 Y
-0.001 -0.436 3.530 Y
-2.877 5.297 5.415 Y
-2.669 2.303 7.301 Y
3.072 1.083 1.395 Y
0.410 -0.299 7.047 Y
0.420 6.237 3.280 Y
0.422 2.962 5.662 Y
3.075 3.907 3.531 Y
3.290 7.472 1.647 Y
3.506 -2.025 7.297 Y
0.211 3.118 1.629 Tm
3.294 0.931 5.415 Tm
6.150 -1.086 5.164 Tm
-2.032 2.877 1.886 O
-3.695 1.011 5.736 O
-3.392 -2.104 7.138 O
-3.934 4.208 7.143 O
-0.888 -1.379 5.492 O
-0.440 5.261 1.318 O
0.851 0.971 1.961 O
-1.807 3.255 5.339 O
-1.801 6.381 3.695 O
0.739 3.993 3.664 O
1.050 0.830 5.091 O
2.454 3.347 1.393 O
-0.454 1.749 7.468 O
4.087 -0.922 1.717 O
1.273 -2.466 7.219 O
3.842 -1.253 5.164 O
3.938 1.728 3.391 O
0.754 4.444 7.385 O
2.755 6.161 3.478 O
2.637 0.145 7.440 O
2.762 3.128 5.665 O
5.301 4.340 3.605 O
5.565 7.150 1.563 O
7.016 0.110 3.386 O
```

---

# 3
The following is a simulated powder diffraction line list of PmNd3. It was derived from a PBE-relaxed structure, using Cu Kα (weighted mean of Kα1 and Kα2).
Lines closer than 0.1° are merged.

Main lines, by angle (2θ from 10° to 90°):
2θ/deg, d [Å], I_rel, (hkl)
28.00, 3.187, 23, 2 0 0
29.49, 3.029, 27, 0 0 2
31.73, 2.820, 100, 2 0 1
41.11, 2.196, 16, 2 0 2
49.55, 1.840, 19, 2 2 0
53.74, 1.706, 23, 2 0 3
58.72, 1.572, 23, 2 2 2
60.04, 1.541, 16, 4 0 1
81.48, 1.181, 14, 4 2 1
82.49, 1.169, 9, 2 2 4

Atomic structure:
```
PmNd3
1.0
7.359 0.000 0.000
-3.679 6.373 0.000
0.000 0.000 6.059
Pm Nd
2 6
Cartesian
0.000 4.249 1.515 Pm
3.679 2.124 4.544 Pm
0.000 2.125 4.544 Nd
-1.839 5.310 4.544 Nd
1.840 1.063 1.515 Nd
1.839 5.310 4.544 Nd
5.518 1.063 1.515 Nd
3.679 4.248 1.515 Nd
```